Computed PXRD pattern of Li4Cr3Co2Sn3O16 for Cu Ka, from a cell relaxed with GGA+U.

Cell and atoms:
Cell lengths 6.0752, 6.0973, 9.6782 Å; angles 89.88, 89.85, 60.17 degrees
Atoms (fractional coordinates):
Li 0.0000 0.0000 0.0000
Li 0.0017 0.9922 0.4910
Li 0.3560 0.2902 0.5937
Li 0.6905 0.6186 0.1023
Cr 0.1869 0.1335 0.2810
Cr 0.6742 0.1331 0.2778
Cr 0.8478 0.3050 0.7762
Co 0.3519 0.2942 0.0045
Co 0.6874 0.6323 0.4970
Sn 0.1855 0.6273 0.2780
Sn 0.3565 0.7951 0.7780
Sn 0.8502 0.7946 0.7788
O 0.0103 0.9784 0.1823
O 0.0117 0.9783 0.6745
O 0.0637 0.4253 0.1529
O 0.1693 0.1402 0.8895
O 0.1765 0.6484 0.9018
O 0.3363 0.8201 0.3921
O 0.3551 0.2883 0.3893
O 0.4991 0.0021 0.1670
O 0.5112 0.4277 0.1541
O 0.5387 0.9264 0.6459
O 0.5515 0.4687 0.6547
O 0.6899 0.1405 0.8897
O 0.6906 0.6182 0.8945
O 0.8437 0.8186 0.3930
O 0.8576 0.2916 0.3766
O 0.9852 0.4680 0.6563

The 12 most intense peaks (2θ = 10–80°), sorted by position:
d/Å  I/Imax
4.839  90
4.632  100
3.567  44
2.753  38
2.579  45
2.551  30
2.542  59
2.319  20
2.044  47
2.038  23
1.562  33
1.525  28

---

Computed PXRD pattern of Li7Co5O12 for Cu Ka, from a cell relaxed with GGA+U.

Cell and atoms:
Cell lengths 2.9063, 2.9063, 29.7650 Å; angles 90.88, 90.88, 60.79 degrees
Atoms (fractional coordinates):
Li 0.0000 0.0000 0.0000
Li 0.0036 0.0036 0.7501
Li 0.3319 0.3319 0.9164
Li 0.3340 0.3340 0.4165
Li 0.6660 0.6660 0.5835
Li 0.6681 0.6681 0.0836
Li 0.9964 0.9964 0.2499
Co 0.0000 0.0000 0.5000
Co 0.3334 0.3334 0.1680
Co 0.3344 0.3344 0.6666
Co 0.6656 0.6656 0.3334
Co 0.6666 0.6666 0.8320
O 0.0067 0.0067 0.3716
O 0.0155 0.0155 0.1313
O 0.3200 0.3200 0.5381
O 0.3241 0.3241 0.2952
O 0.3329 0.3329 0.0435
O 0.3481 0.3481 0.7937
O 0.6519 0.6519 0.2063
O 0.6671 0.6671 0.9565
O 0.6759 0.6759 0.7048
O 0.6800 0.6800 0.4619
O 0.9845 0.9845 0.8687
O 0.9933 0.9933 0.6284

The 12 most intense peaks (2θ = 10–80°), sorted by position:
d/Å  I/Imax
7.440  8
4.960  100
2.504  30
2.464  13
2.392  11
2.105  60
2.062  27
1.922  10
1.637  9
1.507  9
1.494  16
1.453  15